Ca3Er3Ge2BO13: computed powder diffraction line list (Cu Ka), based on the GGA-PBE geometry in the Materials Project.
Intensities are scaled so that the largest is 100.

Largest 6 diffraction maxima, by angle, 10 to 80 degrees two-theta:
2θ (°), I/Imax
14.7, 21
16.9, 21
29.6, 100
34.2, 27
49.1, 17
49.3, 29

Structural model:
```
data_Ca3Er3Ge2BO13
_chemical_formula_sum 'Ca6 Er6 Ge4 B2 O26'
_cell_length_a 10.416
_cell_length_b 10.484
_cell_length_c 7.392
_cell_angle_alpha 90.00
_cell_angle_beta 134.71
_cell_angle_gamma 90.00
_space_group_name_H-M_alt 'C 1 2 1'
_space_group_IT_number 5
_space_group_name_Hall 'C 2y'
loop_
_atom_site_label
_atom_site_type_symbol
_atom_site_fract_x
_atom_site_fract_y
_atom_site_fract_z
Ca1 Ca 0.000 0.000 0.000
Ca2 Ca 0.231 0.771 0.462
Er1 Er 0.000 0.543 0.000
Er2 Er 0.227 0.772 0.001
Ge1 Ge 0.000 0.016 0.500
Ge2 Ge 0.000 0.516 0.500
B1 B 0.000 0.272 0.000
O1 O 0.000 0.761 0.000
O2 O 0.006 0.917 0.702
O3 O 0.007 0.614 0.704
O4 O 0.008 0.192 0.843
O5 O 0.163 0.357 0.157
O6 O 0.194 0.418 0.702
O7 O 0.200 0.116 0.706
```


Ca4ErB3O10: computed powder diffraction line list (Cu Ka), based on the GGA-PBE geometry in the Materials Project.
Intensities are scaled so that the largest is 100.

Largest 6 diffraction maxima, by angle, 10 to 80 degrees two-theta:
2θ (°), I/Imax
11.0, 51
12.4, 100
19.9, 61
29.9, 58
30.5, 69
30.7, 52

Structural model:
```
data_Ca4ErB3O10
_chemical_formula_sum 'Ca8 Er2 B6 O20'
_cell_length_a 8.131
_cell_length_b 16.100
_cell_length_c 3.545
_cell_angle_alpha 90.00
_cell_angle_beta 101.17
_cell_angle_gamma 90.00
_space_group_name_H-M_alt 'C 1 m 1'
_space_group_IT_number 8
_space_group_name_Hall 'C -2y'
loop_
_atom_site_label
_atom_site_type_symbol
_atom_site_fract_x
_atom_site_fract_y
_atom_site_fract_z
Ca1 Ca 0.000 0.112 0.000
Ca2 Ca 0.380 0.182 0.672
Er1 Er 0.138 0.500 0.325
B1 B 0.194 0.306 0.247
B2 B 0.270 0.000 0.628
O1 O 0.058 0.360 0.249
O2 O 0.173 0.231 0.053
O3 O 0.184 0.074 0.580
O4 O 0.307 0.500 0.903
O5 O 0.352 0.328 0.444
O6 O 0.445 0.000 0.722
```


Li5Ca9B7O21F2: computed powder diffraction line list (Cu Ka), based on the GGA-PBE geometry in the Materials Project.
Intensities are scaled so that the largest is 100.

Largest 6 diffraction maxima, by angle, 10 to 80 degrees two-theta:
2θ (°), I/Imax
20.9, 87
28.6, 100
32.1, 69
36.6, 85
42.6, 69
50.6, 91

Structural model:
```
data_Li5Ca9B7O21F2
_chemical_formula_sum 'Li5 Ca9 B7 O21 F2'
_cell_length_a 3.610
_cell_length_b 12.966
_cell_length_c 12.966
_cell_angle_alpha 60.13
_cell_angle_beta 88.46
_cell_angle_gamma 88.47
_space_group_name_H-M_alt 'P 1'
_space_group_IT_number 1
_space_group_name_Hall 'P 1'
loop_
_atom_site_label
_atom_site_type_symbol
_atom_site_fract_x
_atom_site_fract_y
_atom_site_fract_z
Li1 Li 0.000 0.000 0.000
Li2 Li 0.014 0.423 0.861
Li3 Li 0.055 0.676 0.475
Li4 Li 0.517 0.087 0.523
Li5 Li 0.984 0.521 0.154
Ca1 Ca 0.009 0.854 0.722
Ca2 Ca 0.038 0.100 0.324
Ca3 Ca 0.466 0.521 0.363
Ca4 Ca 0.489 0.795 0.994
Ca5 Ca 0.500 0.224 0.839
Ca6 Ca 0.512 0.360 0.091
Ca7 Ca 0.527 0.621 0.696
Ca8 Ca 0.584 0.887 0.267
Ca9 Ca 0.995 0.250 0.580
B1 B 0.002 0.448 0.620
B2 B 0.006 0.612 0.923
B3 B 0.012 0.730 0.211
B4 B 0.031 0.142 0.087
B5 B 0.494 0.027 0.797
B6 B 0.503 0.320 0.330
B7 B 0.544 0.853 0.500
O1 O 0.001 0.330 0.711
O2 O 0.001 0.706 0.947
O3 O 0.002 0.495 0.014
O4 O 0.014 0.637 0.805
O5 O 0.025 0.232 0.116
O6 O 0.043 0.539 0.646
O7 O 0.075 0.024 0.180
O8 O 0.139 0.742 0.304
O9 O 0.486 0.433 0.231
O10 O 0.487 0.010 0.912
O11 O 0.495 0.926 0.784
O12 O 0.499 0.307 0.444
O13 O 0.500 0.140 0.700
O14 O 0.518 0.836 0.615
O15 O 0.523 0.221 0.317
O16 O 0.546 0.966 0.401
O17 O 0.568 0.755 0.484
O18 O 0.940 0.831 0.102
O19 O 0.959 0.618 0.227
O20 O 0.965 0.473 0.502
O21 O 0.991 0.166 0.972
F1 F 0.017 0.068 0.542
F2 F 0.513 0.402 0.876
```


CaGaBO4: computed powder diffraction line list (Cu Ka), based on the GGA-PBE geometry in the Materials Project.
Intensities are scaled so that the largest is 100.

Largest 6 diffraction maxima, by angle, 10 to 80 degrees two-theta:
2θ (°), I/Imax
11.4, 85
20.1, 100
23.9, 96
30.7, 55
32.6, 55
36.6, 52

Structural model:
```
data_CaGaBO4
_chemical_formula_sum 'Ca8 Ga8 B8 O32'
_cell_length_a 8.490
_cell_length_b 15.529
_cell_length_c 5.904
_cell_angle_alpha 90.00
_cell_angle_beta 90.00
_cell_angle_gamma 90.00
_space_group_name_H-M_alt 'C c c 2'
_space_group_IT_number 37
_space_group_name_Hall 'C 2 -2c'
loop_
_atom_site_label
_atom_site_type_symbol
_atom_site_fract_x
_atom_site_fract_y
_atom_site_fract_z
Ca1 Ca 0.140 0.092 0.000
Ga1 Ga 0.015 0.298 0.272
B1 B 0.240 0.394 0.537
O1 O 0.037 0.232 0.018
O2 O 0.127 0.057 0.569
O3 O 0.157 0.373 0.733
O4 O 0.192 0.369 0.321
```


Ca4GdB3O10: computed powder diffraction line list (Cu Ka), based on the GGA-PBE geometry in the Materials Project.
Intensities are scaled so that the largest is 100.

Largest 6 diffraction maxima, by angle, 10 to 80 degrees two-theta:
2θ (°), I/Imax
12.4, 100
19.9, 67
24.8, 52
29.8, 67
30.2, 82
30.4, 63

Structural model:
```
data_Ca4GdB3O10
_chemical_formula_sum 'Ca8 Gd2 B6 O20'
_cell_length_a 8.151
_cell_length_b 16.177
_cell_length_c 3.583
_cell_angle_alpha 90.00
_cell_angle_beta 101.26
_cell_angle_gamma 90.00
_space_group_name_H-M_alt 'C 1 m 1'
_space_group_IT_number 8
_space_group_name_Hall 'C -2y'
loop_
_atom_site_label
_atom_site_type_symbol
_atom_site_fract_x
_atom_site_fract_y
_atom_site_fract_z
Ca1 Ca 0.000 0.113 0.000
Ca2 Ca 0.378 0.182 0.670
Gd1 Gd 0.140 0.500 0.325
B1 B 0.193 0.305 0.247
B2 B 0.266 0.000 0.626
O1 O 0.055 0.357 0.246
O2 O 0.174 0.230 0.056
O3 O 0.181 0.074 0.579
O4 O 0.313 0.500 0.906
O5 O 0.350 0.328 0.444
O6 O 0.440 0.000 0.720
```